Simulated powder X-ray diffraction pattern of Na5LiFe2P2C2O14 for Cu Kα (λ = 1.5418 Å), from the PBE+U geometry in the Materials Project.
Peak positions follow from Bragg's law for the DFT cell and can differ from measured ones.

Atomic structure:
```
data_Na5LiFe2P2C2O14
_cell_length_a 5.2257
_cell_length_b 6.6989
_cell_length_c 8.9522
_cell_angle_alpha 90.00
_cell_angle_beta 92.67
_cell_angle_gamma 90.00
_symmetry_space_group_name_H-M 'P 1 m 1'
_symmetry_Int_Tables_number 6
loop_
_symmetry_equiv_pos_as_xyz
'x,y,z'
'x,-y,z'
loop_
_atom_site_label
_atom_site_fract_x
_atom_site_fract_y
_atom_site_fract_z
Na1 0.0000 0.0000 0.0000
Na2 0.4932 0.2455 0.8172
Na3 0.9772 0.2555 0.3457
Li1 0.4635 0.5000 0.1882
Fe1 0.0140 0.5000 0.7322
Fe2 0.4552 0.0000 0.4302
P1 0.5209 0.5000 0.4928
P2 0.9518 0.0000 0.6687
C1 0.5134 0.0000 0.1405
C2 0.9380 0.5000 0.0357
O1 0.0325 0.1866 0.7653
O2 0.0799 0.0000 0.5168
O3 0.1829 0.5000 0.0147
O4 0.2889 0.0000 0.1982
O5 0.3891 0.5000 0.6438
O6 0.4416 0.3158 0.3933
O7 0.5356 0.0000 0.9974
O8 0.6541 0.0000 0.6426
O9 0.7165 0.0000 0.2311
O10 0.7746 0.5000 0.9199
O11 0.8175 0.5000 0.5213
O12 0.8496 0.5000 0.1687
```

Largest 6 diffraction maxima, in order of rising 2θ, 2θ from 10° to 90°:
2θ 26.6, I = 100; 2θ 33.1, I = 57; 2θ 33.4, I = 71; 2θ 33.6, I = 51; 2θ 34.4, I = 72; 2θ 54.8, I = 58